(1)
Computed powder XRD pattern of MgFe4O8 for Cu Kα X-rays, from the PBE+U geometry in the Materials Project.
Neutral-atom scattering factors, no anomalous dispersion.

Largest 10 diffraction maxima, by angle, 15° ≤ 2θ ≤ 90°:
2θ = 17.96°, I 1000; 2θ = 35.86°, I 324; 2θ = 37.42°, I 130; 2θ = 43.17°, I 678; 2θ = 47.11°, I 90; 2θ = 56.59°, I 150; 2θ = 62.00°, I 175; 2θ = 63.41°, I 185; 2θ = 66.49°, I 130; 2θ = 79.81°, I 83

Atomic structure:
Unit cell a=5.990 b=5.990 c=5.990 alpha=58.66 beta=58.66 gamma=58.66
Fractional coordinates of all 13 atoms:
Mg (0.000, 0.000, 0.000)
Fe (0.000, 0.000, 0.500)
Fe (0.000, 0.500, 0.000)
Fe (0.500, 0.000, 0.000)
Fe (0.500, 0.500, 0.500)
O (0.220, 0.745, 0.745)
O (0.234, 0.234, 0.234)
O (0.255, 0.255, 0.780)
O (0.255, 0.780, 0.255)
O (0.745, 0.220, 0.745)
O (0.745, 0.745, 0.220)
O (0.766, 0.766, 0.766)
O (0.780, 0.255, 0.255)

=====

(2)
Computed powder XRD pattern of MgFe4O8 for Cu Kα X-rays, from the PBE+U geometry in the Materials Project.
Neutral-atom scattering factors, no anomalous dispersion.

Largest 10 diffraction maxima, by angle, 15° ≤ 2θ ≤ 90°:
2θ = 16.41°, I 818; 2θ = 18.58°, I 1000; 2θ = 29.02°, I 510; 2θ = 33.16°, I 754; 2θ = 35.43°, I 724; 2θ = 35.68°, I 543; 2θ = 36.51°, I 520; 2θ = 49.74°, I 475; 2θ = 56.33°, I 382; 2θ = 65.35°, I 433

Atomic structure:
Unit cell a=7.271 b=7.271 c=9.556 alpha=129.55 beta=129.55 gamma=23.76
Fractional coordinates of all 13 atoms:
Mg (0.000, 0.000, 0.000)
Fe (0.016, 0.016, 0.706)
Fe (0.293, 0.293, 0.633)
Fe (0.502, 0.502, 0.361)
Fe (0.807, 0.807, 0.995)
O (0.117, 0.117, 0.436)
O (0.196, 0.196, 0.913)
O (0.451, 0.451, 0.096)
O (0.500, 0.500, 0.853)
O (0.518, 0.518, 0.579)
O (0.802, 0.802, 0.781)
O (0.830, 0.830, 0.544)
O (0.875, 0.875, 0.242)

=====

(3)
Computed powder XRD pattern of MgFe2O4 for Cu Kα X-rays, from the PBE+U geometry in the Materials Project.
Neutral-atom scattering factors, no anomalous dispersion.

Largest 10 diffraction maxima, by angle, 15° ≤ 2θ ≤ 90°:
2θ = 17.80°, I 336; 2θ = 20.28°, I 179; 2θ = 31.86°, I 275; 2θ = 32.62°, I 1000; 2θ = 41.47°, I 289; 2θ = 42.50°, I 403; 2θ = 45.46°, I 451; 2θ = 56.63°, I 221; 2θ = 63.78°, I 429; 2θ = 73.17°, I 171

Atomic structure:
Unit cell a=5.091 b=5.091 c=9.965 alpha=90.00 beta=90.00 gamma=146.52
Fractional coordinates of all 14 atoms:
Mg (0.113, 0.887, 0.750)
Mg (0.887, 0.113, 0.250)
Fe (0.368, 0.632, 0.575)
Fe (0.368, 0.632, 0.925)
Fe (0.632, 0.368, 0.075)
Fe (0.632, 0.368, 0.425)
O (0.000, 0.000, 0.000)
O (0.000, 0.000, 0.500)
O (0.272, 0.728, 0.115)
O (0.272, 0.728, 0.385)
O (0.464, 0.536, 0.750)
O (0.536, 0.464, 0.250)
O (0.728, 0.272, 0.615)
O (0.728, 0.272, 0.885)